Record 1
LaPrNdAg: calculated powder X-ray diffraction pattern (Cu Kα (λ = 1.5418 Å)), based on the GGA-PBE geometry in Alexandria.
No peak broadening, texture or thermal motion is included.

Cell and atoms:
abc: 3.777 3.777 8.895
angles: 90.00 90.00 90.00
Positions (direct):
La (0.000, 0.000, 0.000)
Pr (0.500, 0.500, 0.290)
Nd (0.000, 0.000, 0.573)
Ag (0.500, 0.500, 0.779)

Principal peaks in the range 2θ from 10° to 90°, by angle:
31.06°, d = 2.879 Å, intensity 100; 33.55°, d = 2.671 Å, intensity 46; 40.57°, d = 2.224 Å, intensity 8; 45.72°, d = 1.984 Å, intensity 6; 48.18°, d = 1.889 Å, intensity 16; 53.63°, d = 1.709 Å, intensity 15; 58.44°, d = 1.579 Å, intensity 32; 64.76°, d = 1.440 Å, intensity 8; 79.04°, d = 1.211 Å, intensity 7; 80.39°, d = 1.194 Å, intensity 7


Record 2
LaNdTlAg: calculated powder X-ray diffraction pattern (Cu Kα (λ = 1.5418 Å)), based on the GGA-PBE geometry in Alexandria.
No peak broadening, texture or thermal motion is included.

Cell and atoms:
abc: 3.789 3.789 8.076
angles: 90.00 90.00 90.00
Positions (direct):
La (0.000, 0.000, 0.000)
Nd (0.000, 0.000, 0.526)
Tl (0.500, 0.500, 0.268)
Ag (0.500, 0.500, 0.750)

Principal peaks in the range 2θ from 10° to 90°, by angle:
32.40°, d = 2.763 Å, intensity 100; 33.45°, d = 2.679 Å, intensity 47; 44.89°, d = 2.019 Å, intensity 10; 48.02°, d = 1.894 Å, intensity 17; 57.12°, d = 1.612 Å, intensity 19; 59.13°, d = 1.562 Å, intensity 36; 67.83°, d = 1.382 Å, intensity 11; 74.86°, d = 1.268 Å, intensity 8; 79.52°, d = 1.205 Å, intensity 8; 80.09°, d = 1.198 Å, intensity 8


Record 3
LaNdZnAg: calculated powder X-ray diffraction pattern (Cu Kα (λ = 1.5418 Å)), based on the GGA-PBE geometry in Alexandria.
No peak broadening, texture or thermal motion is included.

Cell and atoms:
abc: 3.795 3.795 7.352
angles: 90.00 90.00 90.00
Positions (direct):
La (0.000, 0.000, 0.000)
Nd (0.000, 0.000, 0.517)
Zn (0.500, 0.500, 0.750)
Ag (0.500, 0.500, 0.268)

Principal peaks in the range 2θ from 10° to 90°, by angle:
33.39°, d = 2.684 Å, intensity 53; 33.95°, d = 2.640 Å, intensity 100; 47.94°, d = 1.898 Å, intensity 19; 49.60°, d = 1.838 Å, intensity 8; 60.04°, d = 1.541 Å, intensity 37; 61.11°, d = 1.516 Å, intensity 17; 71.46°, d = 1.320 Å, intensity 11; 79.94°, d = 1.200 Å, intensity 8; 80.25°, d = 1.196 Å, intensity 8; 82.77°, d = 1.166 Å, intensity 7


Record 4
La3Ni3Ag2: calculated powder X-ray diffraction pattern (Cu Kα (λ = 1.5418 Å)), based on the GGA-PBE geometry in Alexandria.
No peak broadening, texture or thermal motion is included.

Cell and atoms:
abc: 8.542 8.542 5.681
angles: 90.00 90.00 120.00
Positions (direct):
La (0.000, 0.296, 0.250)
La (0.000, 0.704, 0.750)
La (0.296, 0.000, 0.250)
La (0.296, 0.296, 0.750)
La (0.704, 0.000, 0.750)
La (0.704, 0.704, 0.250)
Ni (0.000, 0.378, 0.750)
Ni (0.000, 0.622, 0.250)
Ni (0.378, 0.000, 0.750)
Ni (0.378, 0.378, 0.250)
Ni (0.622, 0.000, 0.250)
Ni (0.622, 0.622, 0.750)
Ag (0.333, 0.667, 0.000)
Ag (0.333, 0.667, 0.500)
Ag (0.667, 0.333, 0.000)
Ag (0.667, 0.333, 0.500)

Principal peaks in the range 2θ from 10° to 90°, by angle:
11.96°, d = 7.398 Å, intensity 19; 26.10°, d = 3.414 Å, intensity 30; 31.50°, d = 2.840 Å, intensity 14; 32.01°, d = 2.796 Å, intensity 15; 35.79°, d = 2.509 Å, intensity 37; 36.43°, d = 2.466 Å, intensity 100; 38.05°, d = 2.365 Å, intensity 88; 53.70°, d = 1.707 Å, intensity 26; 66.64°, d = 1.404 Å, intensity 20; 77.57°, d = 1.231 Å, intensity 21


> Which formula does entry 1 have?

LaPrNdAg